Computed X-ray diffraction stick pattern
Compound: RbAg2RhBr8
Radiation: λ = 1.5418 Å (Cu Kα)
Structure: a GGA-PBE-relaxed structure
Lines closer than 0.1° are merged.

Structural model:
a = 6.366 Å, b = 6.713 Å, c = 9.820 Å
α = 84.11°, β = 87.20°, γ = 70.58°
Space group P-1 (No. 2)
Inequivalent atoms, fractional coordinates:
Rb 0.000 0.000 0.000 (multiplicity 1)
Ag 0.337 0.377 0.293 (multiplicity 2)
Rh 0.000 0.000 0.500 (multiplicity 1)
Br 0.209 0.745 0.692 (multiplicity 2)
Br 0.224 0.233 0.530 (multiplicity 2)
Br 0.255 0.447 0.035 (multiplicity 2)
Br 0.271 0.814 0.323 (multiplicity 2)

Peak list (6 most intense, 10 to 90 degrees two-theta, low angle first)
hkl	2theta	I (rel.)
0 1 1	16.02	81.7
1 -1 0	23.63	64.2
1 2 0	27.28	53.6
0 2 1	28.96	100.0
2 0 0	29.75	62.6
2 2 1	34.19	52.4

Computed X-ray diffraction stick pattern
Compound: RbSc2AgBr8
Radiation: λ = 1.5418 Å (Cu Kα)
Structure: a GGA-PBE-relaxed structure
Lines closer than 0.1° are merged.

Structural model:
a = 7.0958 Å, b = 7.0958 Å, c = 30.1549 Å
α = 90.00°, β = 90.00°, γ = 120.00°
Space group R-3 (No. 148, hexagonal axes)
Inequivalent atoms, fractional coordinates:
Rb 0.0000 0.0000 0.0000 (multiplicity 3)
Sc 0.0000 0.0000 0.2456 (multiplicity 6)
Ag 0.0000 0.0000 0.5000 (multiplicity 3)
Br 0.0000 0.0000 0.3282 (multiplicity 6)
Br 0.0050 0.6610 0.7764 (multiplicity 18)

Peak list (6 most intense, 10 to 90 degrees two-theta, low angle first)
hkl	2theta	I (rel.)
1 0 4	18.63	19.6
0 0 9	26.63	100.0
2 -1 6	30.85	73.2
3 0 0	44.19	79.6
3 0 9	52.35	42.3
5 -1 6	72.99	22.7

Computed X-ray diffraction stick pattern
Compound: RbAgSnBr6
Radiation: λ = 1.5418 Å (Cu Kα)
Structure: a GGA-PBE-relaxed structure
Lines closer than 0.1° are merged.

Structural model:
a = 7.3098 Å, b = 7.3098 Å, c = 14.9917 Å
α = 90.00°, β = 90.00°, γ = 120.00°
Space group P-31c (No. 163)
Inequivalent atoms, fractional coordinates:
Rb 0.0000 0.0000 0.0000 (multiplicity 2)
Ag 0.3333 0.6667 0.2500 (multiplicity 2)
Sn 0.3333 0.6667 0.7500 (multiplicity 2)
Br 0.0251 0.3843 0.6465 (multiplicity 12)

Peak list (6 most intense, 10 to 90 degrees two-theta, low angle first)
hkl	2theta	I (rel.)
0 0 2	11.81	53.4
1 0 2	18.34	75.6
1 1 2	27.14	92.1
1 1 4	34.27	100.0
3 0 0	42.86	43.0
2 -1 6	43.89	27.6

Computed X-ray diffraction stick pattern
Compound: Rb2TaAgBr6
Radiation: λ = 1.5418 Å (Cu Kα)
Structure: a GGA-PBE-relaxed structure
Lines closer than 0.1° are merged.

Structural model:
a = 10.995 Å, b = 10.995 Å, c = 10.995 Å
α = 90.00°, β = 90.00°, γ = 90.00°
Space group Fm-3m (No. 225)
Inequivalent atoms, fractional coordinates:
Rb 0.250 0.250 0.250 (multiplicity 8)
Ta 0.000 0.000 0.000 (multiplicity 4)
Ag 0.000 0.000 0.500 (multiplicity 4)
Br 0.000 0.000 0.240 (multiplicity 24)

Peak list (6 most intense, 10 to 90 degrees two-theta, low angle first)
hkl	2theta	I (rel.)
2 0 0	16.12	49.2
2 2 0	22.88	49.1
2 2 2	28.11	30.4
4 0 0	32.58	100.0
4 4 0	46.74	70.7
8 4 0	77.68	30.4